This entry pairs a crystal structure of Co3C9SeO9 with its theoretical X-ray powder pattern. Radiation: Cu Kα (λ = 1.5418 Å). Structure: a DFT-relaxed cell (GGA+U, the Materials Project).

Peak list (10 most intense, 10° ≤ 2θ ≤ 80°, in order of rising 2θ)
2θ = 11.95°, rel. 30.3, (1 0 0)
2θ = 12.88°, rel. 87.0, (1 1 0)
2θ = 13.10°, rel. 66.6, (1 0 1)
2θ = 13.23°, rel. 100.0, (0 1 -1)
2θ = 13.36°, rel. 67.3, (0 1 1)
2θ = 15.35°, rel. 36.4, (1 0 -1)
2θ = 15.57°, rel. 65.5, (0 0 2)
2θ = 29.59°, rel. 41.0, (2 1 3)
2θ = 29.84°, rel. 41.3, (2 -1 0)
2θ = 31.03°, rel. 35.4, (1 3 1)

Cell and atoms:
a b c (Å): 8.076 8.820 11.574
angles (deg): 86.80 79.65 68.57
Space group P-1 (No. 2)
Unique sites:
Co: 0.044 0.229 0.192 x2
Co: 0.148 0.438 0.290 x2
Co: 0.364 0.123 0.265 x2
C: 0.030 0.035 0.173 x2
C: 0.068 0.402 0.683 x2
C: 0.129 0.267 0.046 x2
C: 0.188 0.643 0.793 x2
C: 0.245 0.501 0.155 x2
C: 0.264 0.488 0.391 x2
C: 0.391 0.912 0.260 x2
C: 0.488 0.875 0.638 x2
C: 0.492 0.142 0.128 x2
Se: 0.087 0.221 0.383 x2
O: 0.010 0.914 0.159 x2
O: 0.181 0.290 0.948 x2
O: 0.205 0.293 0.663 x2
O: 0.303 0.549 0.068 x2
O: 0.334 0.526 0.457 x2
O: 0.341 0.567 0.784 x2
O: 0.388 0.880 0.576 x2
O: 0.407 0.776 0.259 x2
O: 0.416 0.853 0.961 x2